# 1
This entry pairs a crystal structure of KNbBr2Cl2O with its computed powder diffraction line list. Radiation: Cu Kα, 1.54184 Å. Structure: DFT lattice parameters and positions (GGA-PBE).
Peak positions follow from Bragg's law for the DFT cell and can differ from measured ones.

Crystal structure
```
data_KNbBr2Cl2O
_cell_length_a 14.1474
_cell_length_b 4.1155
_cell_length_c 7.4581
_cell_angle_alpha 90.00
_cell_angle_beta 106.69
_cell_angle_gamma 90.00
_space_group_name_H-M_alt 'C 1 2 1'
_space_group_IT_number 5
_space_group_name_Hall 'C 2y'
loop_
_atom_site_label
_atom_site_fract_x
_atom_site_fract_y
_atom_site_fract_z
K1 0.0000 0.0000 0.0000
Nb1 0.0000 0.4331 0.5000
Br1 0.1346 0.5065 0.3347
Cl1 0.1237 0.5042 0.7975
O1 0.0000 0.9993 0.5000
```

Most intense lines, 2θ from 10° to 90°, most intense first:
(hkl), d_spacing, I_rel
1 1 0, 3.938, 100.0
0 0 1, 7.144, 93.0
2 0 0, 6.776, 92.0
1 1 1, 3.333, 77.1
2 0 2, 2.841, 67.9
4 0 -2, 2.911, 63.9
1 1 -2, 2.763, 45.4
3 1 0, 3.042, 36.6
5 1 -2, 2.161, 36.1
3 1 2, 2.122, 29.8



# 2
This entry pairs a crystal structure of K2PdBr2Cl2 with its computed powder diffraction line list. Radiation: Cu Kα, 1.54184 Å. Structure: DFT lattice parameters and positions (GGA-PBE).
Peak positions follow from Bragg's law for the DFT cell and can differ from measured ones.

Crystal structure
```
data_K2PdBr2Cl2
_cell_length_a 9.8524
_cell_length_b 10.7287
_cell_length_c 4.2660
_cell_angle_alpha 90.00
_cell_angle_beta 90.00
_cell_angle_gamma 90.00
_space_group_name_H-M_alt 'C m m m'
_space_group_IT_number 65
_space_group_name_Hall '-C 2 2'
loop_
_atom_site_label
_atom_site_fract_x
_atom_site_fract_y
_atom_site_fract_z
K1 0.2500 0.2500 0.0000
Pd1 0.0000 0.0000 0.5000
Br1 0.2502 0.0000 0.5000
Cl1 0.0000 0.2179 0.5000
```

Most intense lines, 2θ from 10° to 90°, most intense first:
(hkl), d_spacing, I_rel
1 1 0, 7.257, 100.0
0 2 1, 3.339, 86.1
0 0 1, 4.266, 67.7
2 2 1, 2.764, 52.0
0 4 0, 2.682, 46.8
0 0 2, 2.133, 46.0
4 2 1, 1.982, 42.8
1 1 1, 3.678, 40.5
4 0 0, 2.463, 40.4
0 4 2, 1.669, 36.4



# 3
This entry pairs a crystal structure of K2PdBr2Cl2 with its computed powder diffraction line list. Radiation: Cu Kα, 1.54184 Å. Structure: DFT lattice parameters and positions (GGA-PBE).
Peak positions follow from Bragg's law for the DFT cell and can differ from measured ones.

Crystal structure
```
data_K2PdBr2Cl2
_cell_length_a 4.2647
_cell_length_b 7.2994
_cell_length_c 7.3030
_cell_angle_alpha 90.00
_cell_angle_beta 90.00
_cell_angle_gamma 90.00
_space_group_name_H-M_alt 'P m m 2'
_space_group_IT_number 25
_space_group_name_Hall 'P 2 -2'
loop_
_atom_site_label
_atom_site_fract_x
_atom_site_fract_y
_atom_site_fract_z
K1 0.0000 0.0000 0.0000
K2 0.0000 0.5000 0.4558
Pd1 0.5000 0.5000 0.9778
Br1 0.5000 0.2625 0.7395
Cl1 0.5000 0.2716 0.2058
```

Most intense lines, 2θ from 10° to 90°, most intense first:
(hkl), d_spacing, I_rel
0 0 1, 7.301, 100.0
0 2 2, 2.581, 66.1
1 1 1, 3.288, 56.2
1 0 0, 4.265, 51.0
1 0 1, 3.683, 45.0
1 2 0, 2.773, 39.4
1 2 2, 2.208, 32.3
2 2 2, 1.644, 31.0
1 3 1, 2.030, 23.7
0 4 0, 1.825, 20.9



# 4
This entry pairs a crystal structure of K2PtBr2Cl2 with its computed powder diffraction line list. Radiation: Cu Kα, 1.54184 Å. Structure: DFT lattice parameters and positions (GGA-PBE).
Peak positions follow from Bragg's law for the DFT cell and can differ from measured ones.

Crystal structure
```
data_K2PtBr2Cl2
_cell_length_a 4.2672
_cell_length_b 7.2817
_cell_length_c 7.2821
_cell_angle_alpha 90.00
_cell_angle_beta 90.00
_cell_angle_gamma 90.00
_space_group_name_H-M_alt 'P m m 2'
_space_group_IT_number 25
_space_group_name_Hall 'P 2 -2'
loop_
_atom_site_label
_atom_site_fract_x
_atom_site_fract_y
_atom_site_fract_z
K1 0.0000 0.0000 0.0000
K2 0.0000 0.5000 0.4559
Pt1 0.5000 0.5000 0.9781
Br1 0.5000 0.2626 0.7399
Cl1 0.5000 0.2720 0.2055
```

Most intense lines, 2θ from 10° to 90°, most intense first:
(hkl), d_spacing, I_rel
0 0 1, 7.282, 100.0
1 1 1, 3.286, 49.2
1 0 1, 3.682, 43.8
0 2 2, 2.575, 41.2
1 0 0, 4.267, 37.5
1 2 2, 2.204, 24.7
1 3 1, 2.026, 22.6
1 2 1, 2.589, 22.1
0 2 1, 3.257, 21.3
2 2 2, 1.643, 20.0



# 5
This entry pairs a crystal structure of K2PtBrCl3 with its computed powder diffraction line list. Radiation: Cu Kα, 1.54184 Å. Structure: DFT lattice parameters and positions (GGA-PBE).
Peak positions follow from Bragg's law for the DFT cell and can differ from measured ones.

Crystal structure
```
data_K2PtBrCl3
_cell_length_a 4.2390
_cell_length_b 10.3640
_cell_length_c 9.9128
_cell_angle_alpha 90.00
_cell_angle_beta 90.00
_cell_angle_gamma 90.00
_space_group_name_H-M_alt 'A m m 2'
_space_group_IT_number 38
_space_group_name_Hall 'A 2 -2'
loop_
_atom_site_label
_atom_site_fract_x
_atom_site_fract_y
_atom_site_fract_z
K1 0.0000 0.2390 0.0000
Pt1 0.5000 0.0000 0.7499
Br1 0.5000 0.0000 0.5029
Cl1 0.5000 0.0000 0.9857
Cl2 0.5000 0.2254 0.7498
```

Most intense lines, 2θ from 10° to 90°, most intense first:
(hkl), d_spacing, I_rel
0 1 1, 7.164, 100.0
1 1 1, 3.648, 43.4
1 2 0, 3.281, 38.0
1 0 0, 4.239, 31.8
0 4 0, 2.589, 30.0
1 0 2, 3.221, 18.3
0 0 4, 2.478, 17.9
1 2 4, 1.978, 17.8
0 5 1, 2.031, 14.3
1 1 3, 2.527, 13.9



# 6
This entry pairs a crystal structure of LaPrBr2NCl with its computed powder diffraction line list. Radiation: Cu Kα, 1.54184 Å. Structure: DFT lattice parameters and positions (GGA-PBE).
Peak positions follow from Bragg's law for the DFT cell and can differ from measured ones.

Crystal structure
```
data_LaPrBr2NCl
_cell_length_a 18.1988
_cell_length_b 4.0924
_cell_length_c 11.6202
_cell_angle_alpha 90.00
_cell_angle_beta 123.16
_cell_angle_gamma 90.00
_space_group_name_H-M_alt 'C 1 2/m 1'
_space_group_IT_number 12
_space_group_name_Hall '-C 2y'
loop_
_atom_site_label
_atom_site_fract_x
_atom_site_fract_y
_atom_site_fract_z
La1 0.1378 0.0000 0.2932
Pr1 0.0800 0.5000 0.9572
Br1 0.0422 0.0000 0.7416
Br2 0.2220 0.0000 0.1221
N1 0.0746 0.5000 0.1558
Cl1 0.1715 0.5000 0.5055
```

Most intense lines, 2θ from 10° to 90°, most intense first:
(hkl), d_spacing, I_rel
6 0 -1, 2.873, 100.0
1 1 1, 3.493, 70.9
2 0 -1, 8.758, 66.5
1 1 -2, 3.305, 38.3
5 1 -2, 2.713, 32.4
5 1 -3, 2.567, 31.1
5 1 1, 2.157, 29.7
4 0 -4, 2.888, 26.8
0 2 0, 2.046, 25.1
3 1 -4, 2.364, 20.8



# 7
This entry pairs a crystal structure of Lu2S2BrCl with its computed powder diffraction line list. Radiation: Cu Kα, 1.54184 Å. Structure: DFT lattice parameters and positions (GGA-PBE).
Peak positions follow from Bragg's law for the DFT cell and can differ from measured ones.

Crystal structure
```
data_Lu2S2BrCl
_cell_length_a 3.9118
_cell_length_b 5.2730
_cell_length_c 8.5766
_cell_angle_alpha 90.00
_cell_angle_beta 90.00
_cell_angle_gamma 90.00
_space_group_name_H-M_alt 'P m m 2'
_space_group_IT_number 25
_space_group_name_Hall 'P 2 -2'
loop_
_atom_site_label
_atom_site_fract_x
_atom_site_fract_y
_atom_site_fract_z
Lu1 0.0000 0.0000 0.0000
Lu2 0.5000 0.5000 0.2574
S1 0.0000 0.5000 0.0418
S2 0.5000 0.0000 0.2145
Br1 0.5000 0.0000 0.7732
Cl1 0.0000 0.5000 0.4599
```

Most intense lines, 2θ from 10° to 90°, most intense first:
(hkl), d_spacing, I_rel
0 0 1, 8.577, 100.0
0 1 1, 4.492, 86.2
1 0 2, 2.890, 77.2
1 2 2, 1.948, 48.4
1 1 3, 2.115, 41.4
1 1 1, 2.950, 38.7
0 2 0, 2.636, 31.7
1 0 1, 3.559, 18.0
2 1 1, 1.793, 14.2
2 2 0, 1.571, 13.7



# 8
This entry pairs a crystal structure of PuMoBr6Cl4 with its computed powder diffraction line list. Radiation: Cu Kα, 1.54184 Å. Structure: DFT lattice parameters and positions (GGA-PBE).
Peak positions follow from Bragg's law for the DFT cell and can differ from measured ones.

Crystal structure
```
data_PuMoBr6Cl4
_cell_length_a 6.6966
_cell_length_b 7.2567
_cell_length_c 10.0422
_cell_angle_alpha 108.03
_cell_angle_beta 91.61
_cell_angle_gamma 114.47
_space_group_name_H-M_alt 'P 1'
_space_group_IT_number 1
_space_group_name_Hall 'P 1'
loop_
_atom_site_label
_atom_site_fract_x
_atom_site_fract_y
_atom_site_fract_z
Pu1 0.0000 0.0000 0.0000
Mo1 0.7995 0.5845 0.5777
Br1 0.1447 0.9714 0.7332
Br2 0.3503 0.3803 0.1362
Br3 0.4808 0.2439 0.4602
Br4 0.6466 0.5964 0.8247
Br5 0.8244 0.9833 0.2353
Br6 0.9629 0.6086 0.3707
Cl1 0.0070 0.4408 0.6509
Cl2 0.2075 0.8007 0.0406
Cl3 0.6207 0.7879 0.5613
Cl4 0.7837 0.1821 0.9426
```

Most intense lines, 2θ from 10° to 90°, most intense first:
(hkl), d_spacing, I_rel
0 1 -1, 6.280, 100.0
1 -1 0, 5.774, 97.5
1 -1 1, 5.302, 85.1
1 0 -3, 3.006, 80.0
1 1 1, 3.043, 78.5
2 -2 1, 2.889, 69.6
1 0 0, 5.995, 55.8
1 2 0, 2.352, 46.7
1 1 -4, 2.324, 34.8
1 0 -1, 5.526, 31.4



# 9
This entry pairs a crystal structure of Nd2Sm2BrN2Cl4 with its computed powder diffraction line list. Radiation: Cu Kα, 1.54184 Å. Structure: DFT lattice parameters and positions (GGA-PBE).
Peak positions follow from Bragg's law for the DFT cell and can differ from measured ones.

Crystal structure
```
data_Nd2Sm2BrN2Cl4
_cell_length_a 18.2803
_cell_length_b 3.6447
_cell_length_c 8.2294
_cell_angle_alpha 90.00
_cell_angle_beta 106.04
_cell_angle_gamma 90.00
_space_group_name_H-M_alt 'C 1 2/m 1'
_space_group_IT_number 12
_space_group_name_Hall '-C 2y'
loop_
_atom_site_label
_atom_site_fract_x
_atom_site_fract_y
_atom_site_fract_z
Nd1 0.0000 0.0000 0.1989
Sm1 0.1674 0.5000 0.1084
Br1 0.0000 0.5000 0.5000
N1 0.0394 0.5000 0.0248
Cl1 0.1608 0.0000 0.3670
Cl2 0.1687 0.0000 0.8347
```

Most intense lines, 2θ from 10° to 90°, most intense first:
(hkl), d_spacing, I_rel
1 1 -2, 2.727, 100.0
0 0 1, 7.909, 72.6
6 0 0, 2.928, 69.6
3 1 -1, 3.035, 43.4
2 0 0, 8.785, 40.7
7 1 -2, 2.031, 38.5
5 1 2, 1.961, 34.9
3 1 1, 2.749, 27.7
3 1 0, 3.094, 27.3
2 0 1, 5.206, 24.8



# 10
This entry pairs a crystal structure of Pr4Br3NCl2 with its computed powder diffraction line list. Radiation: Cu Kα, 1.54184 Å. Structure: DFT lattice parameters and positions (GGA-PBE).
Peak positions follow from Bragg's law for the DFT cell and can differ from measured ones.

Crystal structure
```
data_Pr4Br3NCl2
_cell_length_a 18.1839
_cell_length_b 3.8850
_cell_length_c 8.3879
_cell_angle_alpha 90.00
_cell_angle_beta 104.68
_cell_angle_gamma 90.00
_space_group_name_H-M_alt 'C 1 2/m 1'
_space_group_IT_number 12
_space_group_name_Hall '-C 2y'
loop_
_atom_site_label
_atom_site_fract_x
_atom_site_fract_y
_atom_site_fract_z
Pr1 0.0000 0.0000 0.2045
Pr2 0.1406 0.5000 0.0808
Br1 0.0000 0.5000 0.5000
Br2 0.1709 0.0000 0.8275
N1 0.0000 0.5000 0.0000
Cl1 0.1609 0.0000 0.3370
```

Most intense lines, 2θ from 10° to 90°, most intense first:
(hkl), d_spacing, I_rel
1 1 -2, 2.850, 100.0
0 0 1, 8.114, 72.1
6 0 0, 2.932, 44.3
2 0 0, 8.795, 39.5
5 1 2, 2.027, 29.0
7 1 -2, 2.060, 25.1
5 1 -1, 2.631, 21.8
3 1 1, 2.873, 19.7
0 2 0, 1.943, 18.4
5 1 0, 2.608, 16.8



# 11
This entry pairs a crystal structure of Pr2Sm2Br3NCl2 with its computed powder diffraction line list. Radiation: Cu Kα, 1.54184 Å. Structure: DFT lattice parameters and positions (GGA-PBE).
Peak positions follow from Bragg's law for the DFT cell and can differ from measured ones.

Crystal structure
```
data_Pr2Sm2Br3NCl2
_cell_length_a 17.9299
_cell_length_b 3.8511
_cell_length_c 8.3546
_cell_angle_alpha 90.00
_cell_angle_beta 104.16
_cell_angle_gamma 90.00
_space_group_name_H-M_alt 'C 1 2/m 1'
_space_group_IT_number 12
_space_group_name_Hall '-C 2y'
loop_
_atom_site_label
_atom_site_fract_x
_atom_site_fract_y
_atom_site_fract_z
Pr1 0.0003 0.0000 0.2045
Sm1 0.1388 0.5000 0.0759
Br1 0.0000 0.5000 0.5000
Br2 0.1725 0.0000 0.8317
N1 0.0000 0.5000 0.0000
Cl1 0.1634 0.0000 0.3262
```

Most intense lines, 2θ from 10° to 90°, most intense first:
(hkl), d_spacing, I_rel
1 1 -2, 2.831, 100.0
0 0 1, 8.101, 83.0
6 0 0, 2.898, 40.9
2 0 0, 8.693, 37.3
5 1 -1, 2.598, 30.7
5 1 2, 2.017, 26.6
7 1 -2, 2.033, 23.8
3 1 1, 2.853, 19.3
5 1 0, 2.581, 18.6
0 2 0, 1.926, 17.8



# 12
This entry pairs a crystal structure of Sm4Br3N2Cl2 with its computed powder diffraction line list. Radiation: Cu Kα, 1.54184 Å. Structure: DFT lattice parameters and positions (GGA-PBE).
Peak positions follow from Bragg's law for the DFT cell and can differ from measured ones.

Crystal structure
```
data_Sm4Br3N2Cl2
_cell_length_a 18.7138
_cell_length_b 3.6348
_cell_length_c 8.1707
_cell_angle_alpha 90.00
_cell_angle_beta 105.47
_cell_angle_gamma 90.00
_space_group_name_H-M_alt 'C 1 2/m 1'
_space_group_IT_number 12
_space_group_name_Hall '-C 2y'
loop_
_atom_site_label
_atom_site_fract_x
_atom_site_fract_y
_atom_site_fract_z
Sm1 0.0016 0.0000 0.1976
Sm2 0.1631 0.5000 0.1062
Br1 0.0000 0.5000 0.5000
Br2 0.1679 0.0000 0.8165
N1 0.0385 0.5000 0.0226
Cl1 0.1559 0.0000 0.3666
```

Most intense lines, 2θ from 10° to 90°, most intense first:
(hkl), d_spacing, I_rel
1 1 -2, 2.714, 100.0
6 0 0, 3.006, 75.4
0 0 1, 7.874, 75.3
5 1 2, 1.982, 39.9
7 1 -2, 2.049, 36.9
4 0 -3, 2.586, 36.3
3 1 -1, 3.040, 27.1
3 1 1, 2.766, 22.1
0 0 3, 2.625, 21.7
6 2 0, 1.555, 21.0



# 13
This entry pairs a crystal structure of Sm4Br4N2Cl with its computed powder diffraction line list. Radiation: Cu Kα, 1.54184 Å. Structure: DFT lattice parameters and positions (GGA-PBE).
Peak positions follow from Bragg's law for the DFT cell and can differ from measured ones.

Crystal structure
```
data_Sm4Br4N2Cl
_cell_length_a 18.7409
_cell_length_b 3.6381
_cell_length_c 8.1047
_cell_angle_alpha 90.00
_cell_angle_beta 104.08
_cell_angle_gamma 90.00
_space_group_name_H-M_alt 'C 1 2/m 1'
_space_group_IT_number 12
_space_group_name_Hall '-C 2y'
loop_
_atom_site_label
_atom_site_fract_x
_atom_site_fract_y
_atom_site_fract_z
Sm1 0.9997 0.0000 0.2006
Sm2 0.1622 0.5000 0.0995
Br1 0.1586 0.0000 0.3814
Br2 0.1687 0.0000 0.8112
N1 0.0382 0.5000 0.0221
Cl1 0.0000 0.5000 0.5000
```

Most intense lines, 2θ from 10° to 90°, most intense first:
(hkl), d_spacing, I_rel
6 0 0, 3.030, 100.0
1 1 -2, 2.707, 92.6
0 0 1, 7.861, 52.8
5 1 2, 2.000, 38.7
7 1 -2, 2.037, 33.5
6 2 0, 1.560, 20.8
3 1 1, 2.782, 20.5
0 2 0, 1.819, 17.7
4 0 -3, 2.555, 17.0
1 1 0, 3.568, 15.3



# 14
This entry pairs a crystal structure of Sm4Br2N2Cl3 with its computed powder diffraction line list. Radiation: Cu Kα, 1.54184 Å. Structure: DFT lattice parameters and positions (GGA-PBE).
Peak positions follow from Bragg's law for the DFT cell and can differ from measured ones.

Crystal structure
```
data_Sm4Br2N2Cl3
_cell_length_a 18.3076
_cell_length_b 3.6090
_cell_length_c 7.9977
_cell_angle_alpha 90.00
_cell_angle_beta 104.35
_cell_angle_gamma 90.00
_space_group_name_H-M_alt 'C 1 2/m 1'
_space_group_IT_number 12
_space_group_name_Hall '-C 2y'
loop_
_atom_site_label
_atom_site_fract_x
_atom_site_fract_y
_atom_site_fract_z
Sm1 0.0017 0.0000 0.2976
Sm2 0.1664 0.5000 0.6036
Br1 0.1605 0.0000 0.8887
N1 0.0393 0.5000 0.5242
Cl1 0.0000 0.5000 0.0000
Cl2 0.1685 0.0000 0.3254
```

Most intense lines, 2θ from 10° to 90°, most intense first:
(hkl), d_spacing, I_rel
1 1 -2, 2.679, 100.0
6 0 0, 2.956, 78.2
0 0 1, 7.748, 51.3
3 1 -1, 2.998, 40.6
5 1 2, 1.965, 40.5
7 1 -2, 2.005, 40.0
3 1 1, 2.743, 31.5
2 0 -1, 6.718, 25.1
0 2 0, 1.805, 21.9
6 2 0, 1.540, 21.8